For AcZn3Ag3, a structure optimized by DFT (GGA-PBE) gives the calculated powder XRD pattern in this record (a wavelength of 1.5418 Å).
Kinematic intensities with the Lorentz-polarization factor, no thermal factor.

Peak list (10 most intense, 5 to 70 degrees two-theta, by angle)
6.438 Å, 2θ = 13.75°, intensity 19, (0 0 3); 3.194 Å, 2θ = 27.94°, intensity 100, (1 1 3); 2.659 Å, 2θ = 33.71°, intensity 25, (0 2 4); 2.532 Å, 2θ = 35.45°, intensity 37, (1 0 7); 2.422 Å, 2θ = 37.11°, intensity 72, (1 1 6); 2.390 Å, 2θ = 37.64°, intensity 55, (3 -1 1); 2.336 Å, 2θ = 38.53°, intensity 63, (3 -2 2); 2.155 Å, 2θ = 41.92°, intensity 22, (3 -1 4); 2.124 Å, 2θ = 42.57°, intensity 21, (3 0 0); 1.854 Å, 2θ = 49.15°, intensity 29, (2 -1 9)

Structural model:
```
data_AcZn3Ag3
_chemical_formula_sum 'Ac6 Zn18 Ag18'
_symmetry_space_group_name_H-M 'R -3'
_symmetry_Int_Tables_number 148
_symmetry_space_group_name_Hall '-R 3'
_cell_length_a 7.3566
_cell_length_b 7.3566
_cell_length_c 19.3150
_cell_angle_alpha 90.00
_cell_angle_beta 90.00
_cell_angle_gamma 120.00
loop_
_atom_site_label
_atom_site_fract_x
_atom_site_fract_y
_atom_site_fract_z
Ac1 0.0000 0.0000 0.1624
Zn1 0.0069 0.5961 0.3711
Ag1 0.0068 0.2274 0.4292
```


For Ac5Al4, a structure optimized by DFT (GGA-PBE) gives the calculated powder XRD pattern in this record (a wavelength of 1.5418 Å).
Kinematic intensities with the Lorentz-polarization factor, no thermal factor.

Peak list (10 most intense, 5 to 70 degrees two-theta, by angle)
4.549 Å, 2θ = 19.51°, intensity 29, (1 1 0); 3.595 Å, 2θ = 24.77°, intensity 37, (2 0 -3); 3.151 Å, 2θ = 28.32°, intensity 20, (2 0 2); 3.132 Å, 2θ = 28.50°, intensity 100, (3 1 -1); 2.986 Å, 2θ = 29.93°, intensity 20, (4 0 -1); 2.955 Å, 2θ = 30.24°, intensity 19, (1 1 -3); 2.703 Å, 2θ = 33.15°, intensity 15, (3 1 -3); 2.496 Å, 2θ = 35.98°, intensity 20, (0 2 0); 2.050 Å, 2θ = 44.17°, intensity 17, (2 2 -3); 1.974 Å, 2θ = 45.99°, intensity 20, (5 1 -4)

Structural model:
```
data_Ac5Al4
_chemical_formula_sum 'Ac10 Al8'
_symmetry_space_group_name_H-M 'C 1 2/m 1'
_symmetry_Int_Tables_number 12
_cell_length_a 12.0636
_cell_length_b 4.9927
_cell_length_c 11.0597
_cell_angle_alpha 90.00
_cell_angle_beta 113.76
_cell_angle_gamma 90.00
loop_
_symmetry_equiv_pos_as_xyz
'x,y,z'
'-x,-y,-z'
'-x,y,-z'
'x,-y,z'
'x+1/2,y+1/2,z'
'-x+1/2,-y+1/2,-z'
'-x+1/2,y+1/2,-z'
'x+1/2,-y+1/2,z'
loop_
_atom_site_label
_atom_site_fract_x
_atom_site_fract_y
_atom_site_fract_z
Ac1 0.0000 0.0000 0.0000
Ac2 0.1122 0.0000 0.4006
Ac3 0.2384 0.0000 0.8287
Al1 0.0407 0.5000 0.8222
Al2 0.1013 0.5000 0.6134
```


For Ac5Al6, a structure optimized by DFT (GGA-PBE) gives the calculated powder XRD pattern in this record (a wavelength of 1.5418 Å).
Kinematic intensities with the Lorentz-polarization factor, no thermal factor.

Peak list (10 most intense, 5 to 70 degrees two-theta, by angle)
4.583 Å, 2θ = 19.37°, intensity 35, (0 2 1); 3.666 Å, 2θ = 24.28°, intensity 80, (1 5 0); 3.217 Å, 2θ = 27.73°, intensity 25, (0 10 0); 3.121 Å, 2θ = 28.60°, intensity 100, (1 3 1); 3.078 Å, 2θ = 29.01°, intensity 68, (0 8 1); 2.391 Å, 2θ = 37.62°, intensity 23, (0 0 2); 2.231 Å, 2θ = 40.44°, intensity 19, (2 0 0); 2.003 Å, 2θ = 45.27°, intensity 40, (1 5 2); 1.972 Å, 2θ = 46.03°, intensity 30, (1 13 1); 1.806 Å, 2θ = 50.53°, intensity 30, (2 8 1)

Structural model:
```
data_Ac5Al6
_chemical_formula_sum 'Ac10 Al12'
_symmetry_space_group_name_H-M 'C m m m'
_symmetry_Int_Tables_number 65
_symmetry_space_group_name_Hall '-C 2 2'
_cell_length_a 4.4615
_cell_length_b 32.1743
_cell_length_c 4.7816
_cell_angle_alpha 90.00
_cell_angle_beta 90.00
_cell_angle_gamma 90.00
loop_
_atom_site_label
_atom_site_fract_x
_atom_site_fract_y
_atom_site_fract_z
Ac1 0.0000 0.0000 0.0000
Ac2 0.0000 0.1958 0.5000
Ac3 0.0000 0.3845 0.0000
Al1 0.0000 0.0844 0.5000
Al2 0.0000 0.2738 0.0000
Al3 0.0000 0.4596 0.5000
```


For Ac5Al3, a structure optimized by DFT (GGA-PBE) gives the calculated powder XRD pattern in this record (a wavelength of 1.5418 Å).
Kinematic intensities with the Lorentz-polarization factor, no thermal factor.

Peak list (10 most intense, 5 to 70 degrees two-theta, by angle)
3.710 Å, 2θ = 23.99°, intensity 21, (2 0 2); 3.635 Å, 2θ = 24.49°, intensity 47, (2 1 1); 3.072 Å, 2θ = 29.07°, intensity 100, (2 1 3); 2.910 Å, 2θ = 30.73°, intensity 45, (2 0 4); 2.637 Å, 2θ = 33.99°, intensity 38, (3 1 0); 2.008 Å, 2θ = 45.16°, intensity 18, (4 1 1); 1.971 Å, 2θ = 46.05°, intensity 27, (2 1 7); 1.895 Å, 2θ = 48.01°, intensity 27, (4 1 3); 1.770 Å, 2θ = 51.65°, intensity 21, (3 3 4); 1.525 Å, 2θ = 60.73°, intensity 16, (4 1 7)

Structural model:
```
data_Ac5Al3
_chemical_formula_sum 'Ac20 Al12'
_symmetry_space_group_name_H-M 'P 4/n c c'
_symmetry_Int_Tables_number 130
_cell_length_a 8.3405
_cell_length_b 8.3405
_cell_length_c 16.2496
_cell_angle_alpha 90.00
_cell_angle_beta 90.00
_cell_angle_gamma 90.00
loop_
_symmetry_equiv_pos_as_xyz
'x,y,z'
'-x,-y,-z'
'-y+1/2,x,z'
'y+1/2,-x,-z'
'-x+1/2,-y+1/2,z'
'x+1/2,y+1/2,-z'
'y,-x+1/2,z'
'-y,x+1/2,-z'
'x+1/2,-y,-z+1/2'
'-x+1/2,y,z+1/2'
'-y,-x,-z+1/2'
'y,x,z+1/2'
'-x,y+1/2,-z+1/2'
'x,-y+1/2,z+1/2'
'y+1/2,x+1/2,-z+1/2'
'-y+1/2,-x+1/2,z+1/2'
loop_
_atom_site_label
_atom_site_fract_x
_atom_site_fract_y
_atom_site_fract_z
Ac1 0.0633 0.5890 0.1035
Ac2 0.2500 0.2500 0.2226
Al1 0.1365 0.6365 0.7500
Al2 0.2500 0.2500 0.0123
```